Structure and theoretical XRD peak list of La3Al2Zn9 (a DFT-relaxed cell (PBE, Alexandria); copper Kα).

Largest 8 diffraction maxima, in order of falling intensity, 10 to 90 degrees two-theta:
(hkl)	d (Å)	two_theta	Rel. int.
1 2 3	2.614	34.30	100
1 3 0	2.475	36.30	84
1 1 4	2.629	34.11	65
2 0 0	2.302	39.13	62
0 2 4	2.710	33.06	61
2 2 4	1.754	52.13	33
1 4 7	1.397	67.00	32
1 0 3	3.248	27.46	32

Cell and atoms:
abc: 4.604 8.807 13.751
angles: 90.00 90.00 90.00
Space group Immm (No. 71)
Inequivalent atoms, fractional coordinates:
La  0.000  0.000  0.000
La  0.000  0.000  0.288
Al  0.000  0.175  0.500
Zn  0.000  0.287  0.142
Zn  0.000  0.358  0.349
Zn  0.000  0.500  0.000

=====

Structure and theoretical XRD peak list of LaAl2Zn3 (a DFT-relaxed cell (PBE, Alexandria); copper Kα).

Largest 8 diffraction maxima, in order of falling intensity, 10 to 90 degrees two-theta:
(hkl)	d (Å)	two_theta	Rel. int.
3 1 1	2.642	33.93	100
5 1 -2	2.400	37.47	73
0 2 0	2.188	41.27	45
1 1 -2	2.866	31.21	41
2 0 -3	2.561	35.03	39
1 1 -1	3.804	23.38	30
3 1 -1	3.296	27.05	24
2 0 2	2.714	33.00	24

Cell and atoms:
abc: 15.598 4.375 7.724
angles: 90.00 114.99 90.00
Space group C2/m (No. 12)
Inequivalent atoms, fractional coordinates:
La  0.151  0.000  0.088
Al  0.020  0.500  0.177
Al  0.184  0.000  0.670
Zn  0.016  0.000  0.351
Zn  0.116  0.500  0.727
Zn  0.186  0.500  0.456

=====

Structure and theoretical XRD peak list of LaAlZn (a DFT-relaxed cell (PBE, Alexandria); copper Kα).

Largest 8 diffraction maxima, in order of falling intensity, 10 to 90 degrees two-theta:
(hkl)	d (Å)	two_theta	Rel. int.
1 1 2	2.785	32.14	100
1 2 1	2.774	32.27	40
0 2 2	2.718	32.96	38
1 3 0	2.243	40.20	36
2 0 0	2.361	38.12	30
1 1 0	4.018	22.12	29
2 2 2	1.782	51.25	21
3 1 2	1.431	65.17	18

Cell and atoms:
abc: 4.722 7.648 7.728
angles: 90.00 90.00 90.00
Space group Ima2 (No. 46)
Inequivalent atoms, fractional coordinates:
La  0.250  0.209  0.000
Al  0.250  0.589  0.806
Zn  0.250  0.585  0.185

=====

Structure and theoretical XRD peak list of LaAlZn (a DFT-relaxed cell (PBE, Alexandria); copper Kα).

Largest 8 diffraction maxima, in order of falling intensity, 10 to 90 degrees two-theta:
(hkl)	d (Å)	two_theta	Rel. int.
0 2 1	2.487	36.11	100
1 1 -2	2.633	34.05	83
1 -1 1	2.665	33.62	83
0 2 -1	2.726	32.86	79
1 0 -1	4.001	22.22	67
2 0 -1	2.135	42.34	62
1 1 0	3.209	27.80	62
-1 1 1	3.268	27.29	61

Cell and atoms:
abc: 4.270 5.865 6.150
angles: 95.73 110.17 91.24
Space group P1 (No. 1)
Inequivalent atoms, fractional coordinates:
La  0.000  0.000  0.000
La  0.244  0.667  0.441
Al  0.538  0.467  0.046
Al  0.907  0.480  0.780
Zn  0.332  0.183  0.654
Zn  0.705  0.173  0.397

=====

Structure and theoretical XRD peak list of LaAl6Zn2 (a DFT-relaxed cell (PBE, Alexandria); copper Kα).

Largest 8 diffraction maxima, in order of falling intensity, 10 to 90 degrees two-theta:
(hkl)	d (Å)	two_theta	Rel. int.
1 1 2	2.511	35.77	100
1 0 3	2.553	35.15	88
1 1 1	2.807	31.88	83
2 0 0	2.073	43.66	75
1 0 4	2.096	43.15	62
1 0 2	3.154	28.29	54
1 1 0	2.932	30.49	53
2 1 3	1.609	57.24	42

Cell and atoms:
abc: 4.147 4.147 9.720
angles: 90.00 90.00 90.00
Space group P4/mmm (No. 123)
Inequivalent atoms, fractional coordinates:
La  0.000  0.000  0.000
Al  0.000  0.000  0.500
Al  0.000  0.500  0.297
Al  0.500  0.500  0.500
Zn  0.500  0.500  0.130

=====

Structure and theoretical XRD peak list of La2Al5Zn2 (a DFT-relaxed cell (PBE, Alexandria); copper Kα).

Largest 8 diffraction maxima, in order of falling intensity, 10 to 90 degrees two-theta:
(hkl)	d (Å)	two_theta	Rel. int.
1 1 2	2.622	34.20	100
1 0 2	3.294	27.07	59
1 0 4	2.189	41.25	52
2 0 0	2.166	41.71	51
1 1 0	3.063	29.16	49
2 1 4	1.539	60.10	33
0 0 2	5.072	17.48	31
3 1 2	1.322	71.32	23

Cell and atoms:
abc: 4.331 4.331 10.145
angles: 90.00 90.00 90.00
Space group P4/mmm (No. 123)
Inequivalent atoms, fractional coordinates:
La  0.000  0.000  0.000
La  0.000  0.000  0.500
Al  0.000  0.500  0.230
Al  0.500  0.500  0.000
Zn  0.500  0.500  0.380

=====

Structure and theoretical XRD peak list of LaAl3Zn (a DFT-relaxed cell (PBE, Alexandria); copper Kα).

Largest 8 diffraction maxima, in order of falling intensity, 10 to 90 degrees two-theta:
(hkl)	d (Å)	two_theta	Rel. int.
2 0 0	2.674	33.51	100
1 1 -2	2.794	32.03	99
0 2 0	3.063	29.16	55
2 2 -1	2.166	41.70	53
1 1 2	1.957	46.39	47
1 3 1	1.712	53.53	46
0 0 1	5.485	16.16	36
1 3 -3	1.452	64.13	35

Cell and atoms:
abc: 6.129 6.123 6.280
angles: 90.00 119.13 90.00
Space group Cm (No. 8)
Inequivalent atoms, fractional coordinates:
La  0.000  0.000  0.000
Al  0.388  0.000  0.777
Al  0.496  0.251  0.493
Zn  0.115  0.500  0.232

=====

Structure and theoretical XRD peak list of La3Al7Zn2 (a DFT-relaxed cell (PBE, Alexandria); copper Kα).

Largest 8 diffraction maxima, in order of falling intensity, 10 to 90 degrees two-theta:
(hkl)	d (Å)	two_theta	Rel. int.
1 1 6	2.401	37.45	100
1 1 0	2.854	31.34	85
1 0 7	3.016	29.62	43
0 1 8	2.763	32.41	31
1 0 1	4.861	18.25	30
2 0 14	1.508	61.48	28
0 0 6	4.442	19.99	27
0 2 1	2.461	36.51	25

Cell and atoms:
abc: 5.7082 5.7082 26.6510
angles: 90.00 90.00 120.00
Space group R-3m (No. 166, hexagonal axes)
Inequivalent atoms, fractional coordinates:
La  0.0000  0.0000  0.0000
La  0.0000  0.0000  0.1408
Al  0.0000  0.0000  0.5000
Al  0.0061  0.5031  0.9197
Zn  0.0000  0.0000  0.3353

=====

Structure and theoretical XRD peak list of LiAl11 (a DFT-relaxed cell (PBE, Alexandria); copper Kα).

Largest 8 diffraction maxima, in order of falling intensity, 10 to 90 degrees two-theta:
(hkl)	d (Å)	two_theta	Rel. int.
2 2 0	2.315	38.90	100
2 0 1	2.286	39.41	42
1 0 0	8.019	11.03	28
2 1 1	2.050	44.18	28
2 2 2	1.193	80.54	23
1 1 1	2.385	37.71	18
6 0 0	1.337	70.45	16
1 0 1	2.629	34.10	15

Cell and atoms:
abc: 9.2596 9.2596 2.7832
angles: 90.00 90.00 120.00
Space group P6/mmm (No. 191)
Inequivalent atoms, fractional coordinates:
Li  0.0000  0.0000  0.0000
Al  0.0000  0.5000  0.0000
Al  0.1749  0.3498  0.5000
Al  0.3333  0.6667  0.0000

=====

Structure and theoretical XRD peak list of Li5Al4 (a DFT-relaxed cell (PBE, Alexandria); copper Kα).

Largest 8 diffraction maxima, in order of falling intensity, 10 to 90 degrees two-theta:
(hkl)	d (Å)	two_theta	Rel. int.
2 0 3	2.226	40.52	100
3 1 0	2.232	40.41	98
2 0 1	3.495	25.49	47
2 0 0	3.867	23.00	47
6 0 0	1.289	73.47	27
5 1 3	1.287	73.59	24
2 2 3	1.575	58.61	21
0 0 2	4.084	21.76	21

Cell and atoms:
abc: 7.739 4.462 8.169
angles: 90.00 90.15 90.00
Space group C2/m (No. 12)
Inequivalent atoms, fractional coordinates:
Li  0.000  0.000  0.000
Li  0.000  0.000  0.332
Li  0.167  0.500  0.230
Al  0.167  0.500  0.563
Al  0.167  0.500  0.905

=====

Structure and theoretical XRD peak list of Li3Al11 (a DFT-relaxed cell (PBE, Alexandria); copper Kα).

Largest 8 diffraction maxima, in order of falling intensity, 10 to 90 degrees two-theta:
(hkl)	d (Å)	two_theta	Rel. int.
1 2 3	2.504	35.87	100
1 4 1	2.170	41.61	90
1 3 4	1.966	46.17	73
2 0 0	2.136	42.32	63
1 1 0	3.947	22.53	49
1 3 2	2.432	36.96	48
0 2 0	5.164	17.17	46
1 1 4	2.333	38.59	39

Cell and atoms:
abc: 4.271 10.327 11.572
angles: 90.00 90.00 90.00
Space group Immm (No. 71)
Inequivalent atoms, fractional coordinates:
Li  0.000  0.000  0.000
Li  0.000  0.000  0.278
Al  0.000  0.158  0.500
Al  0.000  0.284  0.157
Al  0.000  0.374  0.373
Al  0.000  0.500  0.000

=====

Structure and theoretical XRD peak list of Li4Al3 (a DFT-relaxed cell (PBE, Alexandria); copper Kα).

Largest 8 diffraction maxima, in order of falling intensity, 10 to 90 degrees two-theta:
(hkl)	d (Å)	two_theta	Rel. int.
0 0 1	5.035	17.61	100
2 0 1	2.101	43.05	78
2 0 0	2.312	38.96	52
1 0 0	4.624	19.19	23
2 0 2	1.703	53.84	23
1 0 2	2.211	40.81	22
1 1 1	2.359	38.16	20
1 0 1	3.406	26.17	20

Cell and atoms:
abc: 5.3393 5.3393 5.0352
angles: 90.00 90.00 120.00
Space group P6/mmm (No. 191)
Inequivalent atoms, fractional coordinates:
Li  0.0000  0.0000  0.2451
Li  0.3333  0.6667  0.5000
Al  0.0000  0.5000  0.0000